For MgTi, a crystal structure in the Materials Project, relaxed with GGA-PBE gives the simulated powder XRD pattern in this record (Cu Kα (weighted mean of Kα1 and Kα2)).
Lines closer than 0.1° are merged.

The 12 most intense peaks (5 to 70 degrees two-theta), in order of rising 2θ:
2θ 11.07, rel. 13
2θ 33.65, rel. 14
2θ 34.34, rel. 23
2θ 37.05, rel. 39
2θ 38.56, rel. 50
2θ 39.18, rel. 100
2θ 50.91, rel. 8
2θ 51.41, rel. 14
2θ 60.62, rel. 16
2θ 61.96, rel. 8
2θ 67.78, rel. 8
2θ 68.20, rel. 17

Structural model:
Lattice parameters (Å, degrees): 5.9911 15.9825 4.8527 90.00 90.00 90.00
Atoms (fractional coordinates):
Mg1 0.1175 0.1358 0.2500
Mg2 0.1175 0.3642 0.7500
Mg3 0.3681 0.6360 0.2500
Mg4 0.3681 0.8640 0.7500
Mg5 0.3741 0.1911 0.7500
Mg6 0.3741 0.3089 0.2500
Mg7 0.6259 0.6911 0.7500
Mg8 0.6259 0.8089 0.2500
Mg9 0.6319 0.1360 0.2500
Mg10 0.6319 0.3640 0.7500
Mg11 0.8825 0.6358 0.2500
Mg12 0.8825 0.8642 0.7500
Ti1 0.1209 0.0244 0.7500
Ti2 0.1209 0.4756 0.2500
Ti3 0.1262 0.6938 0.7500
Ti4 0.1262 0.8062 0.2500
Ti5 0.3698 0.5275 0.7500
Ti6 0.3698 0.9725 0.2500
Ti7 0.6302 0.0275 0.7500
Ti8 0.6302 0.4725 0.2500
Ti9 0.8738 0.1938 0.7500
Ti10 0.8738 0.3062 0.2500
Ti11 0.8791 0.5244 0.7500
Ti12 0.8791 0.9756 0.2500

***

For Mg2Ti, a crystal structure in the Materials Project, relaxed with GGA-PBE gives the simulated powder XRD pattern in this record (Cu Kα (weighted mean of Kα1 and Kα2)).
Lines closer than 0.1° are merged.

The 12 most intense peaks (5 to 70 degrees two-theta), in order of rising 2θ:
2θ 17.26, rel. 9
2θ 20.21, rel. 5
2θ 22.57, rel. 4
2θ 30.30, rel. 1
2θ 33.86, rel. 27
2θ 34.93, rel. 28
2θ 35.08, rel. 1
2θ 38.25, rel. 100
2θ 49.44, rel. 17
2θ 60.59, rel. 15
2θ 63.51, rel. 1
2θ 64.84, rel. 19

Structural model:
Lattice parameters (Å, degrees): 5.9784 5.9784 5.9784 52.56 52.56 52.56
Atoms (fractional coordinates):
Mg1 0.0000 0.0000 0.0000
Mg2 0.1685 0.8315 0.5000
Mg3 0.5000 0.1685 0.8315
Mg4 0.8315 0.5000 0.1685
Ti1 0.3324 0.3324 0.3324
Ti2 0.6676 0.6676 0.6676

***

For MgTi5, a crystal structure in the Materials Project, relaxed with GGA-PBE gives the simulated powder XRD pattern in this record (Cu Kα (weighted mean of Kα1 and Kα2)).
Lines closer than 0.1° are merged.

The 12 most intense peaks (5 to 70 degrees two-theta), in order of rising 2θ:
2θ 13.06, rel. 16
2θ 34.88, rel. 23
2θ 35.44, rel. 53
2θ 37.40, rel. 83
2θ 39.56, rel. 55
2θ 39.91, rel. 53
2θ 40.15, rel. 100
2θ 40.33, rel. 99
2θ 52.34, rel. 22
2θ 62.90, rel. 31
2θ 69.21, rel. 16
2θ 69.56, rel. 16

Structural model:
Lattice parameters (Å, degrees): 10.9532 2.9103 7.0072 90.00 104.74 90.00
Atoms (fractional coordinates):
Mg1 0.0000 0.0000 0.0000
Mg2 0.5000 0.5000 0.0000
Ti1 0.1077 0.5000 0.7029
Ti2 0.1714 0.5000 0.3323
Ti3 0.2723 0.0000 0.0508
Ti4 0.3226 0.0000 0.6574
Ti5 0.4400 0.5000 0.3913
Ti6 0.6077 0.0000 0.7029
Ti7 0.6714 0.0000 0.3323
Ti8 0.7723 0.5000 0.0508
Ti9 0.8226 0.5000 0.6574
Ti10 0.9400 0.0000 0.3913

***

For Mg2Ti, a crystal structure in the Materials Project, relaxed with GGA-PBE gives the simulated powder XRD pattern in this record (Cu Kα (weighted mean of Kα1 and Kα2)).
Lines closer than 0.1° are merged.

The 12 most intense peaks (5 to 70 degrees two-theta), in order of rising 2θ:
2θ 12.38, rel. 45
2θ 15.75, rel. 29
2θ 32.53, rel. 30
2θ 34.40, rel. 42
2θ 35.94, rel. 73
2θ 36.85, rel. 58
2θ 37.74, rel. 42
2θ 38.75, rel. 89
2θ 39.18, rel. 100
2θ 50.24, rel. 21
2θ 59.25, rel. 33
2θ 67.06, rel. 17

Structural model:
Lattice parameters (Å, degrees): 11.5466 2.9601 7.3364 90.00 102.91 90.00
Atoms (fractional coordinates):
Mg1 0.0294 0.0000 0.3120
Mg2 0.1417 0.5000 0.0231
Mg3 0.3583 0.0000 0.9769
Mg4 0.4706 0.5000 0.6880
Mg5 0.5294 0.5000 0.3120
Mg6 0.6417 0.0000 0.0231
Mg7 0.8583 0.5000 0.9769
Mg8 0.9706 0.0000 0.6880
Ti1 0.2015 0.5000 0.6192
Ti2 0.2985 0.0000 0.3808
Ti3 0.7015 0.0000 0.6192
Ti4 0.7985 0.5000 0.3808

***

For MgTi, a crystal structure in the Materials Project, relaxed with GGA-PBE gives the simulated powder XRD pattern in this record (Cu Kα (weighted mean of Kα1 and Kα2)).
Lines closer than 0.1° are merged.

The 12 most intense peaks (5 to 70 degrees two-theta), in order of rising 2θ:
2θ 19.21, rel. 19
2θ 33.27, rel. 14
2θ 34.23, rel. 24
2θ 36.84, rel. 39
2θ 38.17, rel. 52
2θ 39.02, rel. 100
2θ 50.48, rel. 8
2θ 51.16, rel. 14
2θ 60.06, rel. 16
2θ 61.89, rel. 7
2θ 67.25, rel. 9
2θ 67.83, rel. 17

Structural model:
Lattice parameters (Å, degrees): 4.8790 8.9954 5.3861 90.00 90.00 90.00
Atoms (fractional coordinates):
Mg1 0.0000 0.0000 0.0000
Mg2 0.0000 0.5000 0.5000
Mg3 0.5000 0.1686 0.8248
Mg4 0.5000 0.3314 0.3248
Mg5 0.5000 0.6686 0.3248
Mg6 0.5000 0.8314 0.8248
Ti1 0.0000 0.1575 0.4910
Ti2 0.0000 0.3425 0.9910
Ti3 0.0000 0.6575 0.9910
Ti4 0.0000 0.8425 0.4910
Ti5 0.5000 0.0000 0.3351
Ti6 0.5000 0.5000 0.8351